Record 1
The following is a calculated powder X-ray diffraction pattern of Pm3ThHg4. It was derived from a cell relaxed with GGA-PBE, using Cu Kα (weighted mean of Kα1 and Kα2).

Crystal structure
Unit cell a=5.3794 b=5.3794 c=7.6818 alpha=90.00 beta=90.00 gamma=90.00
Sites, in units of the cell vectors:
1 Pm 0.0000 0.0000 0.0000
2 Pm 0.0000 0.0000 0.5000
3 Pm 0.5000 0.5000 0.0000
4 Th 0.5000 0.5000 0.5000
5 Hg 0.0000 0.5000 0.2476
6 Hg 0.0000 0.5000 0.7524
7 Hg 0.5000 0.0000 0.2476
8 Hg 0.5000 0.0000 0.7524

The 8 most intense peaks (10° ≤ 2θ ≤ 80°), low angle first:
2θ (°)	Rel. int.
33.15	100
33.31	49
47.33	9
47.83	18
59.11	19
59.42	38
69.57	12
79.67	17

---

Record 2
The following is a calculated powder X-ray diffraction pattern of PmTh2Hg6. It was derived from a cell relaxed with GGA-PBE, using Cu Kα (weighted mean of Kα1 and Kα2).

Crystal structure
Unit cell a=8.7907 b=8.7907 c=3.4142 alpha=90.00 beta=90.00 gamma=120.00
Sites, in units of the cell vectors:
1 Pm 0.0000 0.0000 0.0000
2 Th 0.3333 0.6667 0.0000
3 Th 0.6667 0.3333 0.0000
4 Hg 0.0000 0.3319 0.5000
5 Hg 0.0000 0.6681 0.5000
6 Hg 0.3319 0.0000 0.5000
7 Hg 0.3319 0.3319 0.5000
8 Hg 0.6681 0.0000 0.5000
9 Hg 0.6681 0.6681 0.5000

The 8 most intense peaks (10° ≤ 2θ ≤ 80°), low angle first:
2θ (°)	Rel. int.
33.23	100
35.37	96
44.48	12
49.31	34
62.14	34
63.50	18
65.95	32
74.83	11

---

Record 3
The following is a calculated powder X-ray diffraction pattern of Pm5TlHg3. It was derived from a cell relaxed with GGA-PBE, using Cu Kα (weighted mean of Kα1 and Kα2).

Crystal structure
Unit cell a=9.4031 b=9.4031 c=6.8220 alpha=90.00 beta=90.00 gamma=120.00
Sites, in units of the cell vectors:
1 Pm 0.0000 0.2968 0.2500
2 Pm 0.0000 0.7032 0.7500
3 Pm 0.2968 0.0000 0.2500
4 Pm 0.2968 0.2968 0.7500
5 Pm 0.3333 0.6667 0.0000
6 Pm 0.3333 0.6667 0.5000
7 Pm 0.6667 0.3333 0.0000
8 Pm 0.6667 0.3333 0.5000
9 Pm 0.7032 0.0000 0.7500
10 Pm 0.7032 0.7032 0.2500
11 Tl 0.0000 0.0000 0.0000
12 Tl 0.0000 0.0000 0.5000
13 Hg 0.0000 0.3698 0.7500
14 Hg 0.0000 0.6302 0.2500
15 Hg 0.3698 0.0000 0.7500
16 Hg 0.3698 0.3698 0.2500
17 Hg 0.6302 0.0000 0.2500
18 Hg 0.6302 0.6302 0.7500

The 8 most intense peaks (10° ≤ 2θ ≤ 80°), low angle first:
2θ (°)	Rel. int.
31.90	24
32.43	100
33.00	93
42.15	11
46.94	30
58.57	27
58.93	11
64.53	30

---

Record 4
The following is a calculated powder X-ray diffraction pattern of Pm5TlHg6. It was derived from a cell relaxed with GGA-PBE, using Cu Kα (weighted mean of Kα1 and Kα2).

Crystal structure
Unit cell a=9.3517 b=9.3517 c=5.2563 alpha=106.11 beta=106.11 gamma=49.09
Sites, in units of the cell vectors:
1 Pm 0.0000 0.0000 0.0000
2 Pm 0.1791 0.1791 0.6791
3 Pm 0.3589 0.3589 0.3588
4 Pm 0.6411 0.6411 0.6412
5 Pm 0.8209 0.8209 0.3209
6 Tl 0.5000 0.5000 0.0000
7 Hg 0.0623 0.5916 0.8270
8 Hg 0.2199 0.7801 0.5000
9 Hg 0.4084 0.9377 0.1730
10 Hg 0.5916 0.0623 0.8270
11 Hg 0.7801 0.2199 0.5000
12 Hg 0.9377 0.4084 0.1730

The 8 most intense peaks (10° ≤ 2θ ≤ 80°), low angle first:
2θ (°)	Rel. int.
33.13	100
34.12	21
46.76	7
48.22	7
58.53	7
59.15	13
60.37	7
60.52	8

---

Record 5
The following is a calculated powder X-ray diffraction pattern of Pm2Tl4Hg. It was derived from a cell relaxed with GGA-PBE, using Cu Kα (weighted mean of Kα1 and Kα2).

Crystal structure
Unit cell a=7.6637 b=7.6637 c=7.6637 alpha=134.71 beta=134.71 gamma=65.99
Sites, in units of the cell vectors:
1 Pm 0.1455 0.1455 0.0000
2 Pm 0.8545 0.8545 0.0000
3 Tl 0.0000 0.5000 0.5000
4 Tl 0.2500 0.7500 0.5000
5 Tl 0.5000 0.0000 0.5000
6 Tl 0.7500 0.2500 0.5000
7 Hg 0.5000 0.5000 0.0000

The 8 most intense peaks (10° ≤ 2θ ≤ 80°), low angle first:
2θ (°)	Rel. int.
25.69	40
27.76	20
30.29	100
35.25	59
40.13	25
41.55	28
43.37	38
57.07	30

---

Record 6
The following is a calculated powder X-ray diffraction pattern of Pm5Tl2Hg2. It was derived from a cell relaxed with GGA-PBE, using Cu Kα (weighted mean of Kα1 and Kα2).

Crystal structure
Unit cell a=9.4759 b=9.4759 c=7.5019 alpha=90.00 beta=90.00 gamma=55.17
Sites, in units of the cell vectors:
1 Pm 0.0000 0.0000 0.0000
2 Pm 0.0457 0.6742 0.6583
3 Pm 0.1742 0.5457 0.1583
4 Pm 0.3258 0.9543 0.6583
5 Pm 0.4543 0.8258 0.1583
6 Pm 0.5000 0.5000 0.5000
7 Pm 0.5457 0.1742 0.8417
8 Pm 0.6742 0.0457 0.3417
9 Pm 0.8258 0.4543 0.8417
10 Pm 0.9543 0.3258 0.3417
11 Tl 0.2094 0.2094 0.0000
12 Tl 0.2906 0.2906 0.5000
13 Tl 0.7094 0.7094 0.5000
14 Tl 0.7906 0.7906 0.0000
15 Hg 0.1405 0.8595 0.3807
16 Hg 0.3595 0.6405 0.8807
17 Hg 0.6405 0.3595 0.1193
18 Hg 0.8595 0.1405 0.6193

The 8 most intense peaks (10° ≤ 2θ ≤ 80°), low angle first:
2θ (°)	Rel. int.
29.44	43
30.44	100
31.37	42
31.82	58
31.98	58
33.31	70
37.79	31
42.72	35

---

Record 7
The following is a calculated powder X-ray diffraction pattern of Pm4Tl3Hg2. It was derived from a cell relaxed with GGA-PBE, using Cu Kα (weighted mean of Kα1 and Kα2).

Crystal structure
Unit cell a=5.2746 b=5.2746 c=10.7340 alpha=90.00 beta=90.00 gamma=120.00
Sites, in units of the cell vectors:
1 Pm 0.0000 0.0000 0.1692
2 Pm 0.0000 0.0000 0.8308
3 Pm 0.3333 0.6667 0.6126
4 Pm 0.6667 0.3333 0.3874
5 Tl 0.0000 0.0000 0.5000
6 Tl 0.3333 0.6667 0.9462
7 Tl 0.6667 0.3333 0.0538
8 Hg 0.3333 0.6667 0.2961
9 Hg 0.6667 0.3333 0.7039

The 8 most intense peaks (10° ≤ 2θ ≤ 80°), low angle first:
2θ (°)	Rel. int.
31.77	100
33.99	86
47.21	34
55.14	21
59.44	34
60.84	16
66.38	12
76.71	16

---

Record 8
The following is a calculated powder X-ray diffraction pattern of Pm3Tl2Hg6. It was derived from a cell relaxed with GGA-PBE, using Cu Kα (weighted mean of Kα1 and Kα2).

Crystal structure
Unit cell a=17.1795 b=17.1795 c=17.1795 alpha=165.61 beta=165.61 gamma=20.41
Sites, in units of the cell vectors:
1 Pm 0.0000 0.0000 0.0000
2 Pm 0.1765 0.1765 0.0000
3 Pm 0.8235 0.8235 0.0000
4 Tl 0.3612 0.3612 0.0000
5 Tl 0.6388 0.6388 0.0000
6 Hg 0.0697 0.5697 0.5000
7 Hg 0.2699 0.2699 0.0000
8 Hg 0.4303 0.9303 0.5000
9 Hg 0.5697 0.0697 0.5000
10 Hg 0.7301 0.7301 0.0000
11 Hg 0.9303 0.4303 0.5000

The 8 most intense peaks (10° ≤ 2θ ≤ 80°), low angle first:
2θ (°)	Rel. int.
29.83	100
33.46	78
35.90	90
36.38	82
41.98	84
56.40	50
60.88	28
68.37	35

---

Record 9
The following is a calculated powder X-ray diffraction pattern of Pm3Tm2Hg4. It was derived from a cell relaxed with GGA-PBE, using Cu Kα (weighted mean of Kα1 and Kα2).

Crystal structure
Unit cell a=10.1749 b=10.1749 c=7.9255 alpha=90.00 beta=90.00 gamma=140.61
Sites, in units of the cell vectors:
1 Pm 0.0000 0.0000 0.0000
2 Pm 0.0100 0.4900 0.2500
3 Pm 0.4900 0.0100 0.7500
4 Pm 0.5000 0.5000 0.5000
5 Pm 0.5100 0.9900 0.2500
6 Pm 0.9900 0.5100 0.7500
7 Tm 0.0927 0.9073 0.4146
8 Tm 0.4073 0.5927 0.9146
9 Tm 0.5927 0.4073 0.0854
10 Tm 0.9073 0.0927 0.5854
11 Hg 0.1583 0.8417 0.0406
12 Hg 0.1756 0.3244 0.2500
13 Hg 0.3244 0.1756 0.7500
14 Hg 0.3417 0.6583 0.5406
15 Hg 0.6583 0.3417 0.4594
16 Hg 0.6756 0.8244 0.2500
17 Hg 0.8244 0.6756 0.7500
18 Hg 0.8417 0.1583 0.9594

The 8 most intense peaks (10° ≤ 2θ ≤ 80°), low angle first:
2θ (°)	Rel. int.
28.97	48
29.88	59
34.59	100
35.24	44
36.12	47
37.14	35
53.45	37
61.34	31

---

Record 10
The following is a calculated powder X-ray diffraction pattern of PmTm2Hg4. It was derived from a cell relaxed with GGA-PBE, using Cu Kα (weighted mean of Kα1 and Kα2).

Crystal structure
Unit cell a=6.3959 b=6.3959 c=5.1122 alpha=90.00 beta=90.00 gamma=111.95
Sites, in units of the cell vectors:
1 Pm 0.0000 0.0000 0.0000
2 Tm 0.2542 0.7458 0.5000
3 Tm 0.7458 0.2542 0.5000
4 Hg 0.0000 0.5000 0.0000
5 Hg 0.2754 0.2754 0.5000
6 Hg 0.5000 0.0000 0.0000
7 Hg 0.7246 0.7246 0.5000

The 8 most intense peaks (10° ≤ 2θ ≤ 80°), low angle first:
2θ (°)	Rel. int.
22.96	9
33.82	28
34.97	100
35.11	26
49.54	19
61.25	20
62.90	19
73.88	11

---

Record 11
The following is a calculated powder X-ray diffraction pattern of Pm3Tm2Hg6. It was derived from a cell relaxed with GGA-PBE, using Cu Kα (weighted mean of Kα1 and Kα2).

Crystal structure
Unit cell a=13.7697 b=13.7697 c=13.7697 alpha=158.49 beta=158.49 gamma=30.60
Sites, in units of the cell vectors:
1 Pm 0.0000 0.0000 0.0000
2 Pm 0.1485 0.1485 0.0000
3 Pm 0.8515 0.8515 0.0000
4 Tm 0.3796 0.3796 0.0000
5 Tm 0.6204 0.6204 0.0000
6 Hg 0.0667 0.5667 0.5000
7 Hg 0.2672 0.2672 0.0000
8 Hg 0.4333 0.9333 0.5000
9 Hg 0.5667 0.0667 0.5000
10 Hg 0.7328 0.7328 0.0000
11 Hg 0.9333 0.4333 0.5000

The 8 most intense peaks (10° ≤ 2θ ≤ 80°), low angle first:
2θ (°)	Rel. int.
20.03	25
25.41	68
29.26	19
31.86	23
34.92	84
36.66	100
50.22	30
63.77	41

---

Record 12
The following is a calculated powder X-ray diffraction pattern of Pm2Tm3Hg3. It was derived from a cell relaxed with GGA-PBE, using Cu Kα (weighted mean of Kα1 and Kα2).

Crystal structure
Unit cell a=11.5718 b=11.5718 c=11.5718 alpha=161.38 beta=153.83 gamma=32.31
Sites, in units of the cell vectors:
1 Pm 0.2306 0.2306 0.0000
2 Pm 0.7694 0.7694 0.0000
3 Tm 0.0000 0.0000 0.0000
4 Tm 0.3818 0.8818 0.5000
5 Tm 0.6182 0.1182 0.5000
6 Hg 0.1136 0.6136 0.5000
7 Hg 0.5000 0.5000 0.0000
8 Hg 0.8864 0.3864 0.5000

The 8 most intense peaks (10° ≤ 2θ ≤ 80°), low angle first:
2θ (°)	Rel. int.
32.21	22
33.55	100
34.23	26
47.71	15
48.64	10
58.30	11
60.84	28
70.51	9